This entry pairs a crystal structure of Ir5Os3 with its theoretical XRD peak list. Radiation: CuKα. Structure: a cell relaxed with PBE.
Peak positions follow from Bragg's law for the DFT cell and can differ from measured ones.

Cell and atoms:
a = 2.758 Å, b = 4.383 Å, c = 9.567 Å
α = 90.00°, β = 90.00°, γ = 90.00°
Fractional positions:
Ir1 0.000 0.000 0.000
Ir2 0.000 0.000 0.494
Ir3 0.000 0.500 0.833
Ir4 0.500 0.000 0.747
Ir5 0.500 0.500 0.578
Os1 0.000 0.500 0.328
Os2 0.500 0.000 0.247
Os3 0.500 0.500 0.084

Peak list (10 most intense, 2θ from 15° to 90°, low angle first)
| d_spacing | Rel. int. |
| --- | --- |
| 2.390 | 24 |
| 2.191 | 25 |
| 2.098 | 100 |
| 1.615 | 15 |
| 1.380 | 18 |
| 1.247 | 19 |
| 1.195 | 2 |
| 1.168 | 21 |
| 1.153 | 15 |
| 1.096 | 3 |


This entry pairs a crystal structure of PaIrOs with its theoretical XRD peak list. Radiation: CuKα. Structure: a cell relaxed with PBE.
Peak positions follow from Bragg's law for the DFT cell and can differ from measured ones.

Cell and atoms:
a = 4.332 Å, b = 4.332 Å, c = 3.720 Å
α = 90.00°, β = 90.00°, γ = 120.00°
Fractional positions:
Pa1 0.000 0.000 0.000
Ir1 0.667 0.333 0.500
Os1 0.333 0.667 0.500

Peak list (10 most intense, 2θ from 15° to 90°, low angle first)
| d_spacing | Rel. int. |
| --- | --- |
| 3.720 | 5 |
| 2.641 | 100 |
| 2.166 | 61 |
| 1.872 | 5 |
| 1.860 | 13 |
| 1.675 | 26 |
| 1.411 | 32 |
| 1.325 | 24 |
| 1.251 | 11 |
| 1.177 | 8 |


This entry pairs a crystal structure of TeIrOsPb with its theoretical XRD peak list. Radiation: CuKα. Structure: a cell relaxed with PBE.
Peak positions follow from Bragg's law for the DFT cell and can differ from measured ones.

Cell and atoms:
a = 3.937 Å, b = 3.937 Å, c = 7.414 Å
α = 90.00°, β = 90.00°, γ = 120.00°
Fractional positions:
Te1 0.000 0.000 0.000
Ir1 0.333 0.667 0.345
Os1 0.667 0.333 0.207
Pb1 0.667 0.333 0.604

Peak list (10 most intense, 2θ from 15° to 90°, low angle first)
| d_spacing | Rel. int. |
| --- | --- |
| 3.409 | 30 |
| 3.097 | 61 |
| 2.509 | 100 |
| 2.001 | 40 |
| 1.968 | 57 |
| 1.549 | 23 |
| 1.540 | 15 |
| 1.360 | 13 |
| 1.217 | 21 |
| 1.143 | 14 |


This entry pairs a crystal structure of TeIrOsPb with its theoretical XRD peak list. Radiation: CuKα. Structure: a cell relaxed with PBE.
Peak positions follow from Bragg's law for the DFT cell and can differ from measured ones.

Cell and atoms:
a = 3.936 Å, b = 3.936 Å, c = 7.775 Å
α = 104.13°, β = 104.13°, γ = 60.12°
Fractional positions:
Te1 0.000 0.000 0.000
Ir1 0.222 0.222 0.658
Os1 0.600 0.600 0.794
Pb1 0.472 0.472 0.402

Peak list (10 most intense, 2θ from 15° to 90°, low angle first)
| d_spacing | Rel. int. |
| --- | --- |
| 3.376 | 30 |
| 3.262 | 55 |
| 2.920 | 38 |
| 2.724 | 33 |
| 2.707 | 69 |
| 2.339 | 25 |
| 2.173 | 33 |
| 2.158 | 62 |
| 1.969 | 100 |
| 1.460 | 19 |


This entry pairs a crystal structure of Pm2IrOs with its theoretical XRD peak list. Radiation: CuKα. Structure: a cell relaxed with PBE.
Peak positions follow from Bragg's law for the DFT cell and can differ from measured ones.

Cell and atoms:
a = 3.514 Å, b = 3.514 Å, c = 6.987 Å
α = 90.00°, β = 90.00°, γ = 90.00°
Fractional positions:
Pm1 0.000 0.000 0.247
Pm2 0.000 0.000 0.753
Ir1 0.500 0.500 0.500
Os1 0.500 0.500 0.000

Peak list (10 most intense, 2θ from 15° to 90°, low angle first)
| d_spacing | Rel. int. |
| --- | --- |
| 2.485 | 50 |
| 2.477 | 100 |
| 1.757 | 18 |
| 1.747 | 9 |
| 1.433 | 37 |
| 1.429 | 18 |
| 1.242 | 6 |
| 1.239 | 11 |
| 1.111 | 17 |
| 1.105 | 8 |


This entry pairs a crystal structure of RbIrOs with its theoretical XRD peak list. Radiation: CuKα. Structure: a cell relaxed with PBE.
Peak positions follow from Bragg's law for the DFT cell and can differ from measured ones.

Cell and atoms:
a = 5.120 Å, b = 4.456 Å, c = 6.713 Å
α = 90.00°, β = 107.99°, γ = 90.00°
Fractional positions:
Rb1 0.000 0.000 0.000
Rb2 0.490 0.500 0.037
Ir1 0.367 0.000 0.560
Ir2 0.653 0.500 0.564
Os1 0.118 0.500 0.483
Os2 0.833 0.000 0.477

Peak list (10 most intense, 2θ from 15° to 90°, low angle first)
| d_spacing | Rel. int. |
| --- | --- |
| 3.192 | 100 |
| 2.703 | 28 |
| 2.228 | 47 |
| 2.215 | 67 |
| 2.137 | 49 |
| 2.104 | 29 |
| 2.051 | 37 |
| 1.879 | 27 |
| 1.827 | 41 |
| 1.766 | 26 |


This entry pairs a crystal structure of RbIrOs with its theoretical XRD peak list. Radiation: CuKα. Structure: a cell relaxed with PBE.
Peak positions follow from Bragg's law for the DFT cell and can differ from measured ones.

Cell and atoms:
a = 4.585 Å, b = 4.958 Å, c = 7.788 Å
α = 90.07°, β = 92.62°, γ = 105.76°
Fractional positions:
Rb1 0.230 0.254 0.357
Rb2 0.770 0.746 0.643
Ir1 0.270 0.329 0.911
Ir2 0.730 0.671 0.089
Os1 0.254 0.815 0.997
Os2 0.746 0.185 0.003

Peak list (10 most intense, 2θ from 15° to 90°, low angle first)
| d_spacing | Rel. int. |
| --- | --- |
| 3.890 | 81 |
| 2.991 | 100 |
| 2.850 | 36 |
| 2.386 | 69 |
| 2.273 | 39 |
| 2.204 | 60 |
| 2.023 | 56 |
| 1.895 | 40 |
| 1.724 | 34 |
| 1.641 | 32 |


This entry pairs a crystal structure of ReIrOs2 with its theoretical XRD peak list. Radiation: CuKα. Structure: a cell relaxed with PBE.
Peak positions follow from Bragg's law for the DFT cell and can differ from measured ones.

Cell and atoms:
a = 4.745 Å, b = 4.745 Å, c = 4.743 Å
α = 99.51°, β = 99.51°, γ = 33.50°
Fractional positions:
Re1 0.000 0.000 0.000
Ir1 0.249 0.249 0.751
Os1 0.497 0.497 0.491
Os2 0.750 0.750 0.252

Peak list (9 most intense, 2θ from 15° to 90°, low angle first)
| d_spacing | Rel. int. |
| --- | --- |
| 2.236 | 100 |
| 1.936 | 49 |
| 1.369 | 27 |
| 1.367 | 5 |
| 1.168 | 13 |
| 1.167 | 19 |
| 1.166 | 6 |
| 1.119 | 3 |
| 1.117 | 9 |


This entry pairs a crystal structure of ReIr3Os with its theoretical XRD peak list. Radiation: CuKα. Structure: a cell relaxed with PBE.
Peak positions follow from Bragg's law for the DFT cell and can differ from measured ones.

Cell and atoms:
a = 4.698 Å, b = 5.504 Å, c = 6.558 Å
α = 102.22°, β = 103.04°, γ = 107.17°
Fractional positions:
Re1 0.035 0.189 0.191
Re2 0.965 0.811 0.809
Ir1 0.041 0.682 0.197
Ir2 0.306 0.600 0.570
Ir3 0.492 0.236 0.998
Ir4 0.508 0.764 0.002
Ir5 0.694 0.400 0.430
Ir6 0.959 0.318 0.803
Os1 0.299 0.089 0.567
Os2 0.701 0.911 0.433

Peak list (10 most intense, 2θ from 15° to 90°, low angle first)
| d_spacing | Rel. int. |
| --- | --- |
| 2.612 | 37 |
| 2.303 | 90 |
| 2.242 | 98 |
| 2.183 | 100 |
| 2.116 | 35 |
| 2.109 | 31 |
| 2.104 | 87 |
| 2.025 | 41 |
| 2.020 | 37 |
| 1.875 | 39 |


This entry pairs a crystal structure of ReIr6Os with its theoretical XRD peak list. Radiation: CuKα. Structure: a cell relaxed with PBE.
Peak positions follow from Bragg's law for the DFT cell and can differ from measured ones.

Cell and atoms:
a = 5.187 Å, b = 5.187 Å, c = 5.187 Å
α = 89.53°, β = 89.53°, γ = 89.53°
Fractional positions:
Re1 0.000 0.000 0.000
Ir1 0.168 0.168 0.561
Ir2 0.168 0.561 0.168
Ir3 0.439 0.832 0.832
Ir4 0.561 0.168 0.168
Ir5 0.832 0.439 0.832
Ir6 0.832 0.832 0.439
Os1 0.500 0.500 0.500

Peak list (10 most intense, 2θ from 15° to 90°, low angle first)
| d_spacing | Rel. int. |
| --- | --- |
| 3.019 | 41 |
| 2.987 | 61 |
| 2.312 | 53 |
| 2.132 | 28 |
| 2.115 | 100 |
| 1.827 | 30 |
| 1.729 | 25 |
| 1.644 | 30 |
| 1.218 | 30 |
| 1.133 | 14 |


This entry pairs a crystal structure of Re2Ir2Os5 with its theoretical XRD peak list. Radiation: CuKα. Structure: a cell relaxed with PBE.
Peak positions follow from Bragg's law for the DFT cell and can differ from measured ones.

Cell and atoms:
a = 9.035 Å, b = 9.035 Å, c = 7.423 Å
α = 114.19°, β = 114.19°, γ = 29.39°
Fractional positions:
Re1 0.166 0.166 0.122
Re2 0.336 0.333 0.291
Re3 0.667 0.664 0.709
Re4 0.834 0.834 0.878
Ir1 0.412 0.087 0.561
Ir2 0.486 0.514 0.500
Ir3 0.913 0.588 0.439
Ir4 0.989 0.011 0.000
Os1 0.063 0.084 0.734
Os2 0.232 0.268 0.899
Os3 0.305 0.501 0.723
Os4 0.416 0.437 0.087
Os5 0.499 0.695 0.277
Os6 0.563 0.584 0.913
Os7 0.732 0.768 0.101
Os8 0.806 0.002 0.584
Os9 0.916 0.937 0.266
Os10 0.998 0.194 0.416

Peak list (10 most intense, 2θ from 15° to 90°, low angle first)
| d_spacing | Rel. int. |
| --- | --- |
| 2.445 | 14 |
| 2.292 | 41 |
| 2.186 | 100 |
| 2.177 | 95 |
| 2.170 | 15 |
| 2.151 | 54 |
| 2.133 | 26 |
| 2.023 | 17 |
| 1.568 | 19 |
| 1.302 | 14 |


- Which formula does entry 1 have?
  Ir5Os3